# CeMgSc4Se8
Theoretical powder diffraction line list, Cu Kα (weighted mean of Kα1 and Kα2). Input: a cell relaxed with GGA-PBE.

Peak list (12 most intense, 2θ from 5° to 70°, sorted by position)
two_theta  d (Å)  intensity  hkl
13.50  6.558  237  1 0 1
22.20  4.005  96  1 1 0
25.56  3.485  115  0 1 5
25.90  3.440  276  1 1 3
26.54  3.359  79  0 0 6
27.19  3.279  278  2 0 2
31.31  2.857  1000  0 2 4
41.07  2.198  88  1 2 5
44.45  2.038  462  2 0 8
45.29  2.002  492  2 2 0
56.09  1.640  182  4 0 4
65.33  1.428  141  0 4 8

Atomic structure:
Cell: 8.0091 8.0091 20.1516 Å, 90.00 90.00 120.00°
Space group R3m (No. 160, hexagonal axes)
One atom of each set of equivalent atoms:
1 Ce 0.0000 0.0000 0.0000
2 Mg 0.0000 0.0000 0.3727
3 Sc 0.0000 0.0000 0.6274
4 Sc 0.1700 0.3399 0.8318
5 Se 0.0000 0.0000 0.2424
6 Se 0.0000 0.0000 0.7583
7 Se 0.0079 0.5040 0.7577
8 Se 0.1692 0.3384 0.5737